Simulated powder X-ray diffraction pattern of AcPmF6 for Cu Kα, 1.54184 Å, from the PBE geometry in Alexandria.
No peak broadening, texture or thermal motion is included.

Lattice parameters (Å, degrees): 4.069 5.357 5.357 85.93 90.00 90.00
Element x y z (fractional)
1 Ac 0.000 0.000 0.000
2 Pm 0.500 0.480 0.480
3 F 0.000 0.338 0.338
4 F 0.000 0.444 0.794
5 F 0.000 0.794 0.444
6 F 0.500 0.084 0.697
7 F 0.500 0.177 0.177
8 F 0.500 0.697 0.084

Top 8 peaks for 2θ = 10–80°, in order of rising 2θ:
two_theta	I/Imax
22.69	49
24.38	41
27.55	100
33.54	33
42.96	51
44.53	15
44.91	42
56.39	17